(1)
For HfTe8Cl6, a PBE-relaxed structure gives the calculated X-ray diffraction stick pattern in this record (Cu Kα (λ = 1.5418 Å)).
Neutral-atom scattering factors, no anomalous dispersion.

Largest 10 diffraction maxima, in order of rising 2θ, 2θ = 10–90°:
2θ/deg, I_rel
10.19, 55.2
16.79, 100.0
16.91, 99.9
22.73, 71.4
25.13, 73.6
26.98, 48.6
27.38, 52.3
31.73, 50.1
33.08, 66.8
42.04, 71.5

Crystal structure
```
HfTe8Cl6
1.0
7.323 0.000 0.000
-0.575 8.986 0.000
-2.983 -4.296 16.173
Hf Te Cl
2 16 12
Direct
0.000 0.000 0.000
0.000 0.000 0.500
0.210 0.448 0.222
0.235 0.666 0.670
0.285 0.500 0.889
0.285 0.704 0.163
0.341 0.251 0.768
0.353 0.572 0.391
0.451 0.724 0.826
0.459 0.287 0.402
0.541 0.713 0.598
0.549 0.276 0.174
0.647 0.428 0.609
0.659 0.749 0.232
0.715 0.296 0.837
0.715 0.500 0.111
0.765 0.334 0.330
0.790 0.552 0.778
0.005 0.061 0.148
0.069 0.263 0.482
0.096 0.886 0.369
0.165 0.259 0.015
0.302 0.894 0.024
0.324 0.016 0.575
0.676 0.984 0.425
0.698 0.106 0.976
0.835 0.741 0.985
0.904 0.114 0.631
0.931 0.737 0.518
0.995 0.939 0.852
```



(2)
For NaAlSiO4, a PBE-relaxed structure gives the calculated X-ray diffraction stick pattern in this record (Cu Kα (λ = 1.5418 Å)).
Neutral-atom scattering factors, no anomalous dispersion.

Largest 10 diffraction maxima, in order of rising 2θ, 2θ = 10–90°:
2θ/deg, I_rel
13.48, 100.0
23.45, 38.1
23.54, 5.8
30.47, 8.8
33.40, 18.1
33.56, 5.6
38.80, 8.5
41.34, 4.7
50.03, 7.3
66.79, 8.6

Crystal structure
```
NaAlSiO4
1.0
6.576 3.797 5.341
-6.576 3.797 5.341
0.000 -7.593 5.341
Na Al Si O
6 6 6 24
Direct
0.155 0.675 0.671
0.171 0.175 0.655
0.175 0.655 0.171
0.655 0.171 0.175
0.671 0.155 0.675
0.675 0.671 0.155
0.167 0.920 0.411
0.411 0.167 0.920
0.420 0.667 0.911
0.667 0.911 0.420
0.911 0.420 0.667
0.920 0.411 0.167
0.166 0.419 0.914
0.414 0.919 0.666
0.419 0.914 0.166
0.666 0.414 0.919
0.914 0.166 0.419
0.919 0.666 0.414
0.060 0.074 0.408
0.067 0.762 0.430
0.071 0.442 0.767
0.074 0.408 0.060
0.260 0.273 0.886
0.262 0.567 0.930
0.267 0.942 0.571
0.273 0.886 0.260
0.386 0.773 0.760
0.408 0.060 0.074
0.430 0.067 0.762
0.442 0.767 0.071
0.560 0.908 0.574
0.567 0.930 0.262
0.571 0.267 0.942
0.574 0.560 0.908
0.760 0.386 0.773
0.762 0.430 0.067
0.767 0.071 0.442
0.773 0.760 0.386
0.886 0.260 0.273
0.908 0.574 0.560
0.930 0.262 0.567
0.942 0.571 0.267
```



(3)
For Hf6Al2Ni, a PBE-relaxed structure gives the calculated X-ray diffraction stick pattern in this record (Cu Kα (λ = 1.5418 Å)).
Neutral-atom scattering factors, no anomalous dispersion.

Largest 10 diffraction maxima, in order of rising 2θ, 2θ = 10–90°:
2θ/deg, I_rel
22.65, 25.2
34.91, 64.5
35.59, 100.0
38.04, 44.0
39.77, 26.9
44.73, 11.6
48.26, 11.8
56.21, 21.6
66.30, 26.3
67.57, 19.3

Crystal structure
```
Hf6Al2Ni
1.0
7.852 0.000 0.000
-3.926 6.800 0.000
0.000 0.000 3.293
Hf Al Ni
6 2 1
Direct
0.000 0.257 0.000
0.000 0.602 0.500
0.257 0.000 0.000
0.398 0.398 0.500
0.602 0.000 0.500
0.743 0.743 0.000
0.333 0.667 0.000
0.667 0.333 0.000
0.000 0.000 0.500
```



(4)
For Dy2Ti2O7, a PBE-relaxed structure gives the calculated X-ray diffraction stick pattern in this record (Cu Kα (λ = 1.5418 Å)).
Neutral-atom scattering factors, no anomalous dispersion.

Largest 10 diffraction maxima, in order of rising 2θ, 2θ = 10–90°:
2θ/deg, I_rel
17.13, 43.2
24.07, 21.3
25.61, 24.5
29.69, 97.4
30.98, 100.0
35.43, 34.4
39.61, 34.0
50.41, 66.2
59.36, 30.0
61.61, 32.6

Crystal structure
```
Dy2Ti2O7
1.0
-3.478 3.697 5.175
3.478 -3.697 5.175
3.478 3.697 -5.175
Dy Ti O
4 4 14
Direct
0.000 0.000 0.500
0.000 0.500 0.000
0.500 0.000 0.000
0.500 0.500 0.500
0.000 0.000 0.000
0.000 0.500 0.500
0.500 0.000 0.500
0.500 0.500 0.000
0.110 0.345 0.214
0.110 0.896 0.764
0.135 0.385 0.750
0.299 0.049 0.250
0.366 0.616 0.750
0.369 0.104 0.714
0.369 0.655 0.264
0.631 0.345 0.736
0.631 0.896 0.286
0.634 0.384 0.250
0.701 0.951 0.750
0.865 0.615 0.250
0.890 0.104 0.236
0.890 0.655 0.786
```



(5)
For KMg14Zr, a PBE-relaxed structure gives the calculated X-ray diffraction stick pattern in this record (Cu Kα (λ = 1.5418 Å)).
Neutral-atom scattering factors, no anomalous dispersion.

Largest 10 diffraction maxima, in order of rising 2θ, 2θ = 10–90°:
2θ/deg, I_rel
15.46, 14.2
23.25, 12.7
31.21, 26.5
34.93, 23.4
35.88, 100.0
47.54, 16.2
55.54, 19.9
63.26, 16.9
67.31, 18.7
67.91, 14.0

Crystal structure
```
KMg14Zr
1.0
6.618 0.000 0.000
-3.309 5.731 0.000
0.000 0.000 10.276
K Mg Zr
1 14 1
Direct
0.000 0.000 0.000
0.002 0.501 0.500
0.007 0.503 0.000
0.169 0.339 0.261
0.169 0.339 0.739
0.169 0.831 0.261
0.169 0.831 0.739
0.497 0.503 0.000
0.497 0.993 0.000
0.499 0.501 0.500
0.499 0.998 0.500
0.661 0.831 0.261
0.661 0.831 0.739
0.667 0.333 0.249
0.667 0.333 0.751
0.000 0.000 0.500
```



(6)
For Mn4Si7, a PBE-relaxed structure gives the calculated X-ray diffraction stick pattern in this record (Cu Kα (λ = 1.5418 Å)).
Neutral-atom scattering factors, no anomalous dispersion.

Largest 10 diffraction maxima, in order of rising 2θ, 2θ = 10–90°:
2θ/deg, I_rel
26.15, 39.7
32.55, 15.4
39.81, 28.6
42.21, 100.0
43.25, 26.8
46.69, 35.5
47.99, 51.1
54.30, 43.9
77.60, 13.2
87.65, 16.0

Crystal structure
```
Mn4Si7
1.0
5.502 0.000 0.000
0.000 5.502 0.000
0.000 0.000 17.366
Mn Si
16 28
Direct
0.250 0.000 0.029
0.250 0.000 0.282
0.250 0.000 0.529
0.250 0.000 0.782
0.250 0.500 0.089
0.250 0.500 0.348
0.250 0.500 0.589
0.250 0.500 0.848
0.750 0.000 0.218
0.750 0.000 0.471
0.750 0.000 0.718
0.750 0.000 0.971
0.750 0.500 0.152
0.750 0.500 0.411
0.750 0.500 0.652
0.750 0.500 0.911
0.000 0.346 0.250
0.000 0.654 0.750
0.062 0.157 0.398
0.062 0.843 0.898
0.088 0.328 0.966
0.088 0.672 0.466
0.096 0.215 0.674
0.096 0.785 0.174
0.404 0.215 0.174
0.404 0.785 0.674
0.412 0.328 0.466
0.412 0.672 0.966
0.438 0.157 0.898
0.438 0.843 0.398
0.500 0.346 0.750
0.500 0.654 0.250
0.562 0.157 0.602
0.562 0.843 0.102
0.588 0.328 0.034
0.588 0.672 0.534
0.596 0.215 0.326
0.596 0.785 0.826
0.904 0.215 0.826
0.904 0.785 0.326
0.912 0.328 0.534
0.912 0.672 0.034
0.938 0.157 0.102
0.938 0.843 0.602
```



(7)
For Ag3Ge, a PBE-relaxed structure gives the calculated X-ray diffraction stick pattern in this record (Cu Kα (λ = 1.5418 Å)).
Neutral-atom scattering factors, no anomalous dispersion.

Largest 9 diffraction maxima, in order of rising 2θ, 2θ = 10–90°:
2θ/deg, I_rel
21.34, 2.6
30.37, 2.2
37.42, 100.0
43.48, 48.4
48.93, 1.0
53.95, 0.7
63.18, 30.2
75.79, 35.1
79.81, 10.2

Crystal structure
```
Ag3Ge
1.0
4.163 0.000 0.000
0.000 4.163 0.000
0.000 0.000 4.163
Ag Ge
3 1
Direct
0.000 0.000 0.500
0.000 0.500 0.000
0.500 0.000 0.000
0.500 0.500 0.500
```



(8)
For Ba2Tb2Ti2Cu2O11, a PBE-relaxed structure gives the calculated X-ray diffraction stick pattern in this record (Cu Kα (λ = 1.5418 Å)).
Neutral-atom scattering factors, no anomalous dispersion.

Largest 10 diffraction maxima, in order of rising 2θ, 2θ = 10–90°:
2θ/deg, I_rel
22.76, 18.9
32.07, 100.0
32.41, 50.3
39.69, 26.4
46.49, 32.7
56.94, 15.3
57.59, 37.4
67.06, 11.0
67.85, 11.0
77.21, 10.9

Crystal structure
```
Ba2Tb2Ti2Cu2O11
1.0
3.907 0.000 0.000
0.000 3.907 0.000
0.000 0.000 15.956
Ba Tb Ti Cu O
2 2 2 2 11
Direct
0.000 0.000 0.233
0.000 0.000 0.767
0.000 0.000 0.000
0.000 0.000 0.500
0.500 0.500 0.377
0.500 0.500 0.623
0.500 0.500 0.102
0.500 0.500 0.898
0.000 0.500 0.091
0.000 0.500 0.391
0.000 0.500 0.609
0.000 0.500 0.909
0.500 0.000 0.091
0.500 0.000 0.391
0.500 0.000 0.609
0.500 0.000 0.909
0.500 0.500 0.259
0.500 0.500 0.500
0.500 0.500 0.741
```



(9)
For ZnCdSe2, a PBE-relaxed structure gives the calculated X-ray diffraction stick pattern in this record (Cu Kα (λ = 1.5418 Å)).
Neutral-atom scattering factors, no anomalous dispersion.

Largest 10 diffraction maxima, in order of rising 2θ, 2θ = 10–90°:
2θ/deg, I_rel
24.33, 100.0
25.73, 53.2
27.57, 66.3
35.70, 43.8
42.81, 83.0
46.52, 81.0
50.62, 48.1
65.05, 28.6
73.04, 18.7
81.06, 30.6

Crystal structure
```
ZnCdSe2
1.0
4.225 0.000 0.000
-2.112 3.659 0.000
0.000 0.000 6.925
Zn Cd Se
1 1 2
Direct
0.000 0.000 0.000
0.667 0.333 0.497
0.000 0.000 0.642
0.667 0.333 0.108
```